This entry pairs a crystal structure of Sc16O15 with its theoretical powder XRD pattern. Radiation: CuKα. Structure: DFT lattice parameters and positions (GGA-PBE).
Peak positions follow from Bragg's law for the DFT cell and can differ from measured ones.

Crystal structure
Cell lengths 6.3290, 6.3290, 31.1202 Å; angles 90.00, 90.00, 120.00 degrees
Space group R-3m (No. 166, hexagonal axes)
Symmetry-distinct sites (fractional):
Sc (0.0000, 0.0000, 0.1243) x6
Sc (0.0000, 0.0000, 0.3748) x6
Sc (0.0001, 0.5000, 0.1246) x18
Sc (0.0039, 0.5020, 0.3756) x18
O (0.0000, 0.0000, 0.2493) x6
O (0.0000, 0.0000, 0.5000) x3
O (0.0000, 0.5000, 0.0000) x9
O (0.0000, 0.5000, 0.5000) x9
O (0.0028, 0.5014, 0.2496) x18

Principal peaks in the range 2θ = 10–90°, by intensity:
d_spacing, 2θ/deg, I_rel, h k l
2.240, 40.25, 100, 2 0 8
2.585, 34.70, 37, 0 2 4
1.586, 58.16, 29, 0 2 16
1.582, 58.32, 28, 2 2 0
1.350, 69.63, 14, 4 0 4
1.292, 73.24, 13, 0 4 8

***

This entry pairs a crystal structure of Dy5In4Pb with its theoretical powder XRD pattern. Radiation: CuKα. Structure: DFT lattice parameters and positions (GGA-PBE).
Peak positions follow from Bragg's law for the DFT cell and can differ from measured ones.

Crystal structure
Cell lengths 3.602, 3.602, 20.725 Å; angles 90.00, 90.00, 90.00 degrees
Space group P4/mmm (No. 123)
Symmetry-distinct sites (fractional):
Dy (0.000, 0.000, 0.000) x1
Dy (0.000, 0.000, 0.197) x2
Dy (0.000, 0.000, 0.396) x2
In (0.500, 0.500, 0.099) x2
In (0.500, 0.500, 0.296) x2
Pb (0.500, 0.500, 0.500) x1

Principal peaks in the range 2θ = 10–90°, by intensity:
d_spacing, 2θ/deg, I_rel, h k l
2.719, 32.94, 100, 1 0 5
2.547, 35.24, 42, 1 1 0
1.501, 61.79, 33, 2 1 5
1.608, 57.31, 20, 1 1 10
1.801, 50.69, 15, 2 0 0
1.359, 69.09, 11, 2 0 10

***

This entry pairs a crystal structure of CuPd5Au2 with its theoretical powder XRD pattern. Radiation: CuKα. Structure: DFT lattice parameters and positions (GGA-PBE).
Peak positions follow from Bragg's law for the DFT cell and can differ from measured ones.

Crystal structure
Cell lengths 7.958, 7.888, 5.642 Å; angles 90.00, 134.71, 90.00 degrees
Space group C2/m (No. 12)
Symmetry-distinct sites (fractional):
Cu (0.000, 0.000, 0.000) x2
Pd (0.000, 0.000, 0.500) x2
Pd (0.000, 0.500, 0.000) x2
Pd (0.000, 0.500, 0.500) x2
Pd (0.250, 0.250, 0.500) x4
Au (0.250, 0.250, 0.000) x4

Principal peaks in the range 2θ = 10–90°, by intensity:
d_spacing, 2θ/deg, I_rel, h k l
2.296, 39.23, 100, 2 2 0
2.005, 45.23, 17, 0 0 2
1.989, 45.60, 16, 4 0 -2
1.972, 46.02, 16, 0 4 0
1.192, 80.60, 12, 2 6 0
1.406, 66.51, 10, 0 4 2

***

Which formula does entry 1 have? Sc16O15

***

Please write out number 2 again, unchanged.
This entry pairs a crystal structure of Dy5In4Pb with its theoretical powder XRD pattern. Radiation: CuKα. Structure: DFT lattice parameters and positions (GGA-PBE).
Peak positions follow from Bragg's law for the DFT cell and can differ from measured ones.

Crystal structure
Cell lengths 3.602, 3.602, 20.725 Å; angles 90.00, 90.00, 90.00 degrees
Space group P4/mmm (No. 123)
Symmetry-distinct sites (fractional):
Dy (0.000, 0.000, 0.000) x1
Dy (0.000, 0.000, 0.197) x2
Dy (0.000, 0.000, 0.396) x2
In (0.500, 0.500, 0.099) x2
In (0.500, 0.500, 0.296) x2
Pb (0.500, 0.500, 0.500) x1

Principal peaks in the range 2θ = 10–90°, by intensity:
d_spacing, 2θ/deg, I_rel, h k l
2.719, 32.94, 100, 1 0 5
2.547, 35.24, 42, 1 1 0
1.501, 61.79, 33, 2 1 5
1.608, 57.31, 20, 1 1 10
1.801, 50.69, 15, 2 0 0
1.359, 69.09, 11, 2 0 10